(1)
For SrTlGa, DFT lattice parameters and positions (PBE) gives the simulated X-ray diffraction stick pattern in this record (Cu Kα (weighted mean of Kα1 and Kα2)).

Crystal structure
a b c (Å): 4.338 4.930 8.940
angles (deg): 105.90 100.71 90.09
Element x y z (fractional)
Sr 0.167 0.393 0.285
Sr 0.833 0.607 0.715
Tl 0.354 0.204 0.908
Tl 0.646 0.796 0.092
Ga 0.279 0.036 0.573
Ga 0.721 0.964 0.427

Top 8 peaks for 2θ = 10–90°, in order of rising 2θ:
2θ (°)	Rel. int.
10.5	36
21.5	23
26.7	32
29.0	100
32.1	85
36.4	40
41.7	24
41.8	24

=====

(2)
For SrVGa, DFT lattice parameters and positions (PBE) gives the simulated X-ray diffraction stick pattern in this record (Cu Kα (weighted mean of Kα1 and Kα2)).

Crystal structure
a b c (Å): 3.601 3.601 11.223
angles (deg): 90.00 90.00 90.00
Element x y z (fractional)
Sr 0.000 0.000 0.190
Sr 0.000 0.000 0.810
V 0.500 0.500 0.416
V 0.500 0.500 0.584
Ga 0.000 0.000 0.500
Ga 0.500 0.500 0.000

Top 8 peaks for 2θ = 10–90°, in order of rising 2θ:
2θ (°)	Rel. int.
23.8	18
29.5	52
34.6	100
35.3	90
50.7	31
54.5	18
62.8	34
63.5	17

=====

(3)
For Sr4Zn3Ga, DFT lattice parameters and positions (PBE) gives the simulated X-ray diffraction stick pattern in this record (Cu Kα (weighted mean of Kα1 and Kα2)).

Crystal structure
a b c (Å): 4.572 4.856 11.445
angles (deg): 90.00 90.00 90.00
Element x y z (fractional)
Sr 0.000 0.000 0.000
Sr 0.000 0.500 0.495
Sr 0.500 0.000 0.709
Sr 0.500 0.500 0.211
Zn 0.000 0.500 0.798
Zn 0.500 0.000 0.406
Zn 0.500 0.500 0.909
Ga 0.000 0.000 0.298

Top 8 peaks for 2θ = 10–90°, in order of rising 2θ:
2θ (°)	Rel. int.
27.9	100
29.8	66
35.8	58
37.0	67
39.4	29
50.2	30
53.4	22
55.2	21

=====

(4)
For SrZn9Ga2, DFT lattice parameters and positions (PBE) gives the simulated X-ray diffraction stick pattern in this record (Cu Kα (weighted mean of Kα1 and Kα2)).

Crystal structure
a b c (Å): 8.379 8.379 8.379
angles (deg): 100.80 100.80 128.71
Element x y z (fractional)
Sr 0.375 0.625 0.750
Sr 0.625 0.375 0.250
Zn 0.125 0.875 0.250
Zn 0.128 0.551 0.334
Zn 0.128 0.795 0.577
Zn 0.205 0.282 0.334
Zn 0.205 0.872 0.923
Zn 0.282 0.205 0.834
Zn 0.282 0.449 0.077
Zn 0.449 0.282 0.577
Zn 0.449 0.872 0.166
Zn 0.551 0.128 0.834
Zn 0.551 0.718 0.423
Zn 0.718 0.551 0.923
Zn 0.718 0.795 0.166
Zn 0.795 0.128 0.077
Zn 0.795 0.718 0.666
Zn 0.872 0.205 0.423
Zn 0.872 0.449 0.666
Zn 0.875 0.125 0.750
Ga 0.000 0.000 0.000
Ga 0.000 0.000 0.500
Ga 0.000 0.500 0.000
Ga 0.500 0.000 0.500

Top 8 peaks for 2θ = 10–90°, in order of rising 2θ:
2θ (°)	Rel. int.
32.6	35
36.3	100
37.7	69
38.2	36
41.9	34
44.2	88
45.5	38
67.1	30

=====

(5)
For SrZn4Ga2, DFT lattice parameters and positions (PBE) gives the simulated X-ray diffraction stick pattern in this record (Cu Kα (weighted mean of Kα1 and Kα2)).

Crystal structure
a b c (Å): 7.560 7.560 4.279
angles (deg): 90.00 90.00 146.90
Element x y z (fractional)
Sr 0.000 0.000 0.000
Zn 0.188 0.812 0.500
Zn 0.308 0.692 0.000
Zn 0.692 0.308 0.000
Zn 0.812 0.188 0.500
Ga 0.410 0.590 0.500
Ga 0.590 0.410 0.500

Top 8 peaks for 2θ = 10–90°, in order of rising 2θ:
2θ (°)	Rel. int.
30.1	16
32.4	22
34.9	100
37.4	19
42.0	38
42.2	37
43.2	54
61.1	24

=====

(6)
For SrZn5Ga7, DFT lattice parameters and positions (PBE) gives the simulated X-ray diffraction stick pattern in this record (Cu Kα (weighted mean of Kα1 and Kα2)).

Crystal structure
a b c (Å): 7.216 7.216 7.216
angles (deg): 136.58 96.76 98.98
Element x y z (fractional)
Sr 0.000 0.000 0.000
Zn 0.005 0.001 0.504
Zn 0.005 0.500 0.004
Zn 0.222 0.722 0.500
Zn 0.497 0.001 0.996
Zn 0.497 0.500 0.496
Ga 0.210 0.501 0.709
Ga 0.354 0.354 0.000
Ga 0.355 0.001 0.354
Ga 0.645 0.645 0.000
Ga 0.647 0.001 0.646
Ga 0.785 0.285 0.500
Ga 0.792 0.501 0.291

Top 8 peaks for 2θ = 10–90°, in order of rising 2θ:
2θ (°)	Rel. int.
37.5	50
38.0	91
38.3	77
38.4	51
38.6	61
38.8	59
42.4	53
43.3	100

=====

(7)
For Sr3Zn4Ga4, DFT lattice parameters and positions (PBE) gives the simulated X-ray diffraction stick pattern in this record (Cu Kα (weighted mean of Kα1 and Kα2)).

Crystal structure
a b c (Å): 4.421 4.467 13.472
angles (deg): 99.49 99.40 90.10
Element x y z (fractional)
Sr 0.000 0.000 0.000
Sr 0.151 0.652 0.302
Sr 0.849 0.348 0.698
Zn 0.249 0.249 0.500
Zn 0.403 0.902 0.805
Zn 0.597 0.098 0.195
Zn 0.751 0.751 0.500
Ga 0.305 0.802 0.608
Ga 0.449 0.450 0.900
Ga 0.551 0.550 0.100
Ga 0.695 0.198 0.392

Top 8 peaks for 2θ = 10–90°, in order of rising 2θ:
2θ (°)	Rel. int.
29.2	17
31.3	52
31.6	100
36.8	27
40.4	37
40.8	36
43.0	25
52.0	24

=====

(8)
For SrZn2Ga9, DFT lattice parameters and positions (PBE) gives the simulated X-ray diffraction stick pattern in this record (Cu Kα (weighted mean of Kα1 and Kα2)).

Crystal structure
a b c (Å): 8.819 8.819 8.819
angles (deg): 100.13 100.13 130.42
Element x y z (fractional)
Sr 0.375 0.625 0.750
Sr 0.625 0.375 0.250
Zn 0.000 0.000 0.000
Zn 0.000 0.000 0.500
Zn 0.000 0.500 0.000
Zn 0.500 0.000 0.500
Ga 0.125 0.875 0.250
Ga 0.127 0.553 0.329
Ga 0.127 0.798 0.575
Ga 0.202 0.277 0.329
Ga 0.202 0.873 0.925
Ga 0.277 0.202 0.829
Ga 0.277 0.447 0.075
Ga 0.447 0.277 0.575
Ga 0.447 0.873 0.171
Ga 0.553 0.127 0.829
Ga 0.553 0.723 0.425
Ga 0.723 0.553 0.925
Ga 0.723 0.798 0.171
Ga 0.798 0.127 0.075
Ga 0.798 0.723 0.671
Ga 0.873 0.202 0.425
Ga 0.873 0.447 0.671
Ga 0.875 0.125 0.750

Top 8 peaks for 2θ = 10–90°, in order of rising 2θ:
2θ (°)	Rel. int.
30.9	30
34.9	100
35.5	66
37.3	32
40.7	29
41.7	92
43.3	36
63.3	29